No. 1
Sr3CoSb2O9: calculated powder XRD pattern (λ = 1.5418 Å (Cu Kα)), based on a PBE+U-relaxed structure.
Lines closer than 0.1° are merged.

Cell and atoms:
a b c (Å): 5.7010 8.1771 17.1243
angles (deg): 90.00 90.00 90.00
Space group Immm (No. 71)
Asymmetric unit:
Sr1 0.0000 0.2316 0.0000
Sr2 0.0000 0.2579 0.3264
Co1 0.0000 0.0000 0.1666
Sb1 0.0000 0.0000 0.5000
Sb2 0.0000 0.5000 0.1675
Sb3 0.0000 0.5000 0.5000
O1 0.0000 0.2451 0.5000
O2 0.0000 0.2619 0.1619
O3 0.2448 0.5000 0.4194
O4 0.2469 0.0000 0.4189
O5 0.2480 0.5000 0.2483

Largest 8 diffraction maxima, sorted by position, 2θ from 5° to 70°:
2θ 31.15, I = 100, (1 2 3)
2θ 31.36, I = 49, (2 0 0)
2θ 44.31, I = 17, (0 4 0)
2θ 44.94, I = 33, (2 0 6)
2θ 55.29, I = 19, (2 4 0)
2θ 55.69, I = 38, (3 2 3)
2θ 64.95, I = 19, (2 4 6)
2θ 65.45, I = 10, (4 0 0)

---

No. 2
SrCoSbO6: calculated powder XRD pattern (λ = 1.5418 Å (Cu Kα)), based on a PBE+U-relaxed structure.
Lines closer than 0.1° are merged.

Cell and atoms:
a b c (Å): 5.1465 5.1465 5.4464
angles (deg): 90.00 90.00 120.00
Space group P312 (No. 149)
Asymmetric unit:
Sr1 0.0000 0.0000 0.0000
Co1 0.6667 0.3333 0.5000
Sb1 0.3333 0.6667 0.5000
O1 0.3947 0.0188 0.7019

Largest 8 diffraction maxima, sorted by position, 2θ from 5° to 70°:
2θ 16.27, I = 23, (0 0 1)
2θ 25.83, I = 100, (1 0 1)
2θ 34.87, I = 32, (1 1 0)
2θ 38.71, I = 14, (2 -1 1)
2θ 43.90, I = 20, (2 0 1)
2θ 48.68, I = 44, (2 -1 2)
2θ 57.24, I = 21, (3 -1 1)
2θ 62.52, I = 11, (3 0 0)

---

No. 3
ThCoSbO6: calculated powder XRD pattern (λ = 1.5418 Å (Cu Kα)), based on a PBE+U-relaxed structure.
Lines closer than 0.1° are merged.

Cell and atoms:
a b c (Å): 4.9234 4.9234 9.8520
angles (deg): 90.00 90.00 90.00
Space group P4_2nm (No. 102)
Asymmetric unit:
Th1 0.0000 0.0000 0.0000
Co1 0.0000 0.0000 0.3322
Sb1 0.0000 0.0000 0.6634
O1 0.1750 0.1750 0.4989
O2 0.2107 0.2107 0.8110
O3 0.2133 0.2133 0.1753

Largest 8 diffraction maxima, sorted by position, 2θ from 5° to 70°:
2θ 20.16, I = 32, (1 0 1)
2θ 25.59, I = 100, (1 1 0)
2θ 32.78, I = 86, (1 0 3)
2θ 36.50, I = 27, (2 0 0)
2θ 49.86, I = 72, (2 1 3)
2θ 52.57, I = 20, (2 2 0)
2θ 62.55, I = 20, (1 1 6)
2θ 63.35, I = 24, (3 0 3)

---

No. 4
Sc2CoSnO6: calculated powder XRD pattern (λ = 1.5418 Å (Cu Kα)), based on a PBE+U-relaxed structure.
Lines closer than 0.1° are merged.

Cell and atoms:
a b c (Å): 5.3517 5.3517 14.4091
angles (deg): 90.00 90.00 120.00
Space group R3 (No. 146, hexagonal axes)
Asymmetric unit:
Sc1 0.0000 0.0000 0.0000
Sc2 0.0000 0.0000 0.4990
Co1 0.0000 0.0000 0.7859
Sn1 0.0000 0.0000 0.2911
O1 0.0051 0.3070 0.8944
O2 0.0375 0.6692 0.0595

Largest 8 diffraction maxima, sorted by position, 2θ from 5° to 70°:
2θ 22.81, I = 61, (0 1 2)
2θ 31.45, I = 100, (1 0 4)
2θ 33.49, I = 80, (1 1 0)
2θ 38.51, I = 22, (1 1 3)
2θ 46.60, I = 42, (0 2 4)
2θ 51.11, I = 53, (1 1 6)
2θ 58.60, I = 38, (2 1 4)
2θ 59.87, I = 33, (3 0 0)

---

No. 5
Sr2CoSe3O9: calculated powder XRD pattern (λ = 1.5418 Å (Cu Kα)), based on a PBE+U-relaxed structure.
Lines closer than 0.1° are merged.

Cell and atoms:
a b c (Å): 7.4768 7.7779 8.8623
angles (deg): 103.48 105.47 95.43
Space group P-1 (No. 2)
Asymmetric unit:
Sr1 0.1278 0.4843 0.3071
Sr2 0.2505 0.9079 0.1113
Co1 0.4060 0.6618 0.7466
Se1 0.1383 0.9137 0.7070
Se2 0.2648 0.3649 0.9142
Se3 0.4055 0.2115 0.5419
O1 0.0123 0.1248 0.1820
O2 0.0249 0.3005 0.8535
O3 0.1343 0.6951 0.5981
O4 0.2739 0.5910 0.9122
O5 0.3250 0.3672 0.1173
O6 0.3379 0.4219 0.5687
O7 0.3533 0.9423 0.8541
O8 0.3709 0.7507 0.3293
O9 0.4390 0.1796 0.3528

Largest 8 diffraction maxima, sorted by position, 2θ from 5° to 70°:
2θ 26.40, I = 100, (-1 1 2)
2θ 27.58, I = 41, (2 1 -1)
2θ 28.40, I = 45, (-1 2 1)
2θ 28.84, I = 74, (1 2 0)
2θ 29.70, I = 72, (2 1 -2)
2θ 29.77, I = 54, (2 -1 1)
2θ 31.00, I = 38, (1 1 -3)
2θ 31.59, I = 44, (0 1 -3)

---

No. 6
TlCo2Se2O6: calculated powder XRD pattern (λ = 1.5418 Å (Cu Kα)), based on a PBE+U-relaxed structure.
Lines closer than 0.1° are merged.

Cell and atoms:
a b c (Å): 5.6179 5.7045 6.2326
angles (deg): 99.08 109.12 109.35
Space group P-1 (No. 2)
Asymmetric unit:
Tl1 0.0000 0.0000 0.0000
Co1 0.4356 0.7472 0.0655
Se1 0.0842 0.7116 0.4280
O1 0.2528 0.4003 0.8326
O2 0.2661 0.6071 0.2892
O3 0.3893 0.8801 0.7853

Largest 8 diffraction maxima, sorted by position, 2θ from 5° to 70°:
2θ 15.77, I = 91, (0 0 1)
2θ 18.33, I = 66, (1 0 0)
2θ 23.53, I = 73, (-1 1 1)
2θ 26.78, I = 100, (0 1 1)
2θ 32.91, I = 99, (-2 1 1)
2θ 33.40, I = 98, (1 1 -2)
2θ 33.80, I = 94, (0 2 -1)
2θ 34.56, I = 64, (1 -2 1)

---

No. 7
TlCoSe2O8: calculated powder XRD pattern (λ = 1.5418 Å (Cu Kα)), based on a PBE+U-relaxed structure.
Lines closer than 0.1° are merged.

Cell and atoms:
a b c (Å): 8.5188 5.4908 8.3861
angles (deg): 90.00 94.96 90.00
Space group C2/m (No. 12)
Asymmetric unit:
Tl1 0.0000 0.0000 0.0000
Co1 0.0000 0.0000 0.5000
Se1 0.1294 0.5000 0.3115
O1 0.0117 0.2524 0.3273
O2 0.1909 0.5000 0.1308
O3 0.2332 0.0000 0.5321

Largest 8 diffraction maxima, sorted by position, 2θ from 5° to 70°:
2θ 19.25, I = 29, (1 1 0)
2θ 20.93, I = 43, (2 0 0)
2θ 22.46, I = 98, (1 1 1)
2θ 22.67, I = 45, (2 0 -1)
2θ 28.15, I = 100, (1 1 -2)
2θ 29.52, I = 43, (1 1 2)
2θ 32.62, I = 36, (0 2 0)
2θ 35.70, I = 52, (3 1 0)

---

No. 8
CoSi4O10: calculated powder XRD pattern (λ = 1.5418 Å (Cu Kα)), based on a PBE+U-relaxed structure.
Lines closer than 0.1° are merged.

Cell and atoms:
a b c (Å): 7.2988 7.2988 16.2388
angles (deg): 90.00 90.00 90.00
Space group P4/ncc (No. 130, origin choice 2)
Asymmetric unit:
Co1 0.2500 0.2500 0.0941
Si1 0.0060 0.0715 0.3470
O1 0.0042 0.7106 0.6323
O2 0.0273 0.1518 0.0970
O3 0.0380 0.5380 0.2500

Largest 8 diffraction maxima, sorted by position, 2θ from 5° to 70°:
2θ 17.18, I = 35, (1 1 0)
2θ 21.89, I = 100, (0 0 4)
2θ 24.39, I = 25, (2 0 0)
2θ 25.10, I = 46, (1 0 4)
2θ 26.78, I = 31, (2 0 2)
2θ 27.91, I = 35, (1 1 4)
2θ 29.49, I = 64, (2 1 2)
2θ 46.43, I = 17, (1 0 8)